# SrPPdPt
Theoretical powder X-ray diffraction pattern, Cu Kα (weighted mean of Kα1 and Kα2). Input: DFT lattice parameters and positions (PBE).
Intensities are scaled so that the largest is 1000.

Main lines, in order of falling intensity (2θ from 10° to 80°):
- (1 1 0), 29.77°, rel. 1000
- (1 0 3), 35.79°, rel. 681
- (0 1 3), 35.02°, rel. 681
- (1 2 3), 55.74°, rel. 379
- (2 1 3), 57.35°, rel. 353
- (0 2 0), 41.25°, rel. 284
- (0 1 1), 22.37°, rel. 268
- (2 0 0), 43.91°, rel. 237
- (1 1 6), 66.91°, rel. 181
- (2 2 0), 61.82°, rel. 171

Crystal structure
```
data_SrPPdPt
_chemical_formula_sum 'Sr2 P2 Pd2 Pt2'
_cell_length_a 4.1235
_cell_length_b 4.3770
_cell_length_c 9.4828
_cell_angle_alpha 90.00
_cell_angle_beta 90.00
_cell_angle_gamma 90.00
_space_group_name_H-M_alt 'I m m 2'
_space_group_IT_number 44
loop_
_space_group_symop_operation_xyz
'x,y,z'
'-x,-y,z'
'-x,y,z'
'x,-y,z'
'x+1/2,y+1/2,z+1/2'
'-x+1/2,-y+1/2,z+1/2'
'-x+1/2,y+1/2,z+1/2'
'x+1/2,-y+1/2,z+1/2'
loop_
_atom_site_label
_atom_site_fract_x
_atom_site_fract_y
_atom_site_fract_z
Sr1 0.0000 0.0000 0.0000
P1 0.0000 0.5000 0.2507
Pd1 0.0000 0.0000 0.3456
Pt1 0.0000 0.0000 0.6413
```